Record 1
Structure and calculated powder XRD pattern of GdDyMg2Ag4 (a structure optimized by DFT (GGA-PBE); a wavelength of 1.5418 Å).
Intensities are scaled so that the largest is 1000.

Peak list (6 most intense, 10° ≤ 2θ ≤ 80°, low angle first)
2θ = 22.0°, rel. 246; 2θ = 36.4°, rel. 1000; 2θ = 43.0°, rel. 132; 2θ = 52.4°, rel. 171; 2θ = 65.5°, rel. 341; 2θ = 77.3°, rel. 105

Structural model:
```
8
Lattice="4.9366 0.0000 0.0000 0.0000 6.9886 0.0000 0.0000 0.0000 4.9334" Properties=species:S:1:pos:R:3 pbc="T T T"
Gd 0.0000 0.0000 0.0000
Dy 2.4683 3.4943 2.4952
Mg 0.0000 3.4943 0.0095
Mg 2.4683 0.0000 2.4851
Ag 0.0000 1.7646 2.4635
Ag 0.0000 5.2240 2.4635
Ag 2.4683 1.7633 0.0321
Ag 2.4683 5.2253 0.0321
```


Record 2
Structure and calculated powder XRD pattern of GdDyAg2S4 (a structure optimized by DFT (GGA-PBE); a wavelength of 1.5418 Å).
Intensities are scaled so that the largest is 1000.

Peak list (6 most intense, 10° ≤ 2θ ≤ 80°, low angle first)
2θ = 25.4°, rel. 847; 2θ = 27.2°, rel. 917; 2θ = 37.6°, rel. 1000; 2θ = 38.8°, rel. 757; 2θ = 48.1°, rel. 596; 2θ = 63.5°, rel. 436

Structural model:
```
16
Lattice="9.2727 0.0000 0.0000 0.0000 9.2890 0.0000 0.0000 0.0000 4.1424" Properties=species:S:1:pos:R:3 pbc="T T T"
Gd 0.0000 0.0000 0.0000
Gd 4.6363 4.6445 0.0000
Dy 0.0000 4.6445 2.2771
Dy 4.6363 0.0000 2.2771
Ag 2.3182 2.3223 3.2098
Ag 2.3182 6.9668 3.2098
Ag 6.9545 2.3223 3.2098
Ag 6.9545 6.9668 3.2098
S 0.0000 2.7958 0.1793
S 0.0000 6.4933 0.1793
S 1.8745 0.0000 2.0984
S 2.7619 4.6445 2.0984
S 4.6363 1.8487 0.1793
S 4.6363 7.4403 0.1793
S 6.5108 4.6445 2.0984
S 7.3982 0.0000 2.0984
```


Record 3
Structure and calculated powder XRD pattern of GdDyAg2Te4 (a structure optimized by DFT (GGA-PBE); a wavelength of 1.5418 Å).
Intensities are scaled so that the largest is 1000.

Peak list (6 most intense, 10° ≤ 2θ ≤ 80°, low angle first)
2θ = 25.8°, rel. 1000; 2θ = 31.5°, rel. 584; 2θ = 33.9°, rel. 822; 2θ = 35.7°, rel. 799; 2θ = 42.2°, rel. 383; 2θ = 42.6°, rel. 564

Structural model:
```
16
Lattice="10.0612 0.0000 0.0000 0.0000 10.0639 0.0000 0.0000 0.0000 4.7356" Properties=species:S:1:pos:R:3 pbc="T T T"
Gd 0.0000 0.0000 0.0000
Gd 5.0306 5.0320 0.0000
Dy 0.0000 5.0320 1.8031
Dy 5.0306 0.0000 1.8031
Ag 2.5153 2.5160 0.8931
Ag 2.5153 7.5479 0.8931
Ag 7.5459 2.5160 0.8931
Ag 7.5459 7.5479 0.8931
Te 0.0000 2.0483 2.2839
Te 0.0000 8.0156 2.2839
Te 2.0199 5.0320 4.2555
Te 3.0107 0.0000 4.2555
Te 5.0306 2.9837 2.2839
Te 5.0306 7.0802 2.2839
Te 7.0505 0.0000 4.2555
Te 8.0414 5.0320 4.2555
```


Record 4
Structure and calculated powder XRD pattern of DyTmAg2Ge2 (a structure optimized by DFT (GGA-PBE); a wavelength of 1.5418 Å).
Intensities are scaled so that the largest is 1000.

Peak list (6 most intense, 10° ≤ 2θ ≤ 80°, low angle first)
2θ = 33.9°, rel. 1000; 2θ = 40.2°, rel. 646; 2θ = 44.2°, rel. 114; 2θ = 53.5°, rel. 269; 2θ = 66.4°, rel. 150; 2θ = 69.0°, rel. 249

Structural model:
```
6
Lattice="4.4893 0.0000 0.0000 -2.2447 3.8879 0.0000 0.0000 0.0000 7.2263" Properties=species:S:1:pos:R:3 pbc="T T T"
Dy 0.0000 0.0000 0.0000
Tm 0.0000 0.0000 3.6169
Ag 0.0000 2.5919 1.5423
Ag 2.2447 1.2960 5.1001
Ge 0.0000 2.5919 5.7435
Ge 2.2447 1.2960 2.1544
```


Record 5
Structure and calculated powder XRD pattern of DyY2Ag4Ge4 (a structure optimized by DFT (GGA-PBE); a wavelength of 1.5418 Å).
Intensities are scaled so that the largest is 1000.

Peak list (6 most intense, 10° ≤ 2θ ≤ 80°, low angle first)
2θ = 33.1°, rel. 1000; 2θ = 34.6°, rel. 810; 2θ = 37.1°, rel. 268; 2θ = 41.6°, rel. 446; 2θ = 42.4°, rel. 366; 2θ = 45.3°, rel. 437

Structural model:
```
11
Lattice="-2.1717 3.5642 7.2685 2.1717 -3.5642 7.2685 2.1717 3.5642 -7.2685" Properties=species:S:1:pos:R:3 pbc="T T T"
Dy 0.0000 0.0000 0.0000
Y 2.1717 0.0000 5.4361
Y 0.0000 3.5642 1.8324
Ag 2.1717 1.4071 -2.4585
Ag 2.1717 1.4071 2.4585
Ag 0.0000 2.1571 4.8100
Ag 0.0000 2.1571 9.7270
Ge 0.0000 0.0000 3.1492
Ge 2.1717 2.2479 0.0000
Ge 0.0000 1.3164 7.2685
Ge 0.0000 0.0000 11.3878
```


Record 6
Structure and calculated powder XRD pattern of DyTm2Mg3AgHg2 (a structure optimized by DFT (GGA-PBE); a wavelength of 1.5418 Å).
Intensities are scaled so that the largest is 1000.

Peak list (6 most intense, 10° ≤ 2θ ≤ 80°, low angle first)
2θ = 13.2°, rel. 303; 2θ = 23.0°, rel. 316; 2θ = 31.7°, rel. 1000; 2θ = 34.4°, rel. 291; 2θ = 34.5°, rel. 620; 2θ = 40.5°, rel. 263

Structural model:
```
9
Lattice="4.1260 0.0000 0.0000 0.0000 6.7214 3.8546 0.0000 -6.7214 3.8546" Properties=species:S:1:pos:R:3 pbc="T T T"
Dy 0.0000 0.0000 0.0000
Tm 0.0000 -2.7537 4.7404
Tm 0.0000 2.7537 4.7404
Mg 2.0630 -1.6603 2.2175
Mg 2.0630 1.6603 2.2175
Mg 2.0630 0.0000 5.0578
Ag 0.0000 0.0000 3.1746
Hg 2.0630 -4.4630 3.1592
Hg 2.0630 4.4630 3.1592
```